Structure and calculated PXRD pattern of NaLaZrSnO6 (DFT lattice parameters and positions (GGA-PBE); copper Kα).
Neutral-atom scattering factors, no anomalous dispersion.

Structure:
abc: 5.822 5.822 5.822
angles: 60.00 60.00 60.00
Fractional positions:
Na 0.000 0.000 0.000
La 0.500 0.500 0.500
Zr 0.750 0.750 0.750
Sn 0.250 0.250 0.250
O 0.002 0.002 0.498
O 0.002 0.498 0.002
O 0.002 0.498 0.498
O 0.498 0.002 0.002
O 0.498 0.002 0.498
O 0.498 0.498 0.002

Principal peaks in the range 2θ = 10–80°, by angle:
- d = 4.754 Å, I 25.7
- d = 4.117 Å, I 8.4
- d = 2.911 Å, I 100.0
- d = 2.482 Å, I 14.8
- d = 2.058 Å, I 35.0
- d = 1.889 Å, I 6.6
- d = 1.681 Å, I 40.7
- d = 1.585 Å, I 5.2
- d = 1.455 Å, I 21.3
- d = 1.302 Å, I 17.7


Structure and calculated PXRD pattern of Na3Sr4La3Ti10O30 (DFT lattice parameters and positions (GGA-PBE); copper Kα).
Neutral-atom scattering factors, no anomalous dispersion.

Structure:
abc: 5.544 5.549 19.905
angles: 97.94 97.93 90.44
Fractional positions:
Na 0.000 0.000 0.000
Na 0.198 0.207 0.398
Na 0.597 0.603 0.199
Sr 0.299 0.310 0.597
Sr 0.401 0.407 0.799
Sr 0.801 0.810 0.599
Sr 0.900 0.908 0.800
La 0.097 0.103 0.198
La 0.500 0.498 0.000
La 0.697 0.707 0.397
Ti 0.048 0.548 0.100
Ti 0.147 0.654 0.298
Ti 0.245 0.759 0.496
Ti 0.350 0.860 0.698
Ti 0.451 0.953 0.901
Ti 0.548 0.047 0.099
Ti 0.645 0.154 0.298
Ti 0.749 0.263 0.496
Ti 0.850 0.359 0.698
Ti 0.949 0.452 0.900
O 0.003 0.517 0.510
O 0.100 0.601 0.691
O 0.101 0.106 0.700
O 0.136 0.659 0.200
O 0.161 0.675 0.399
O 0.210 0.217 0.903
O 0.219 0.709 0.914
O 0.299 0.308 0.101
O 0.306 0.793 0.085
O 0.325 0.832 0.599
O 0.379 0.886 0.801
O 0.407 0.414 0.300
O 0.411 0.916 0.315
O 0.506 0.509 0.498
O 0.507 0.990 0.486
O 0.534 0.054 0.001
O 0.555 0.076 0.200
O 0.604 0.609 0.700
O 0.607 0.112 0.709
O 0.695 0.209 0.891
O 0.699 0.706 0.902
O 0.734 0.250 0.399
O 0.777 0.285 0.599
O 0.809 0.818 0.101
O 0.813 0.318 0.116
O 0.897 0.905 0.300
O 0.904 0.392 0.284
O 0.927 0.433 0.801
O 0.962 0.480 0.002
O 0.999 0.003 0.498

Principal peaks in the range 2θ = 10–80°, by angle:
- d = 4.521 Å, I 30.8
- d = 2.772 Å, I 100.0
- d = 2.761 Å, I 53.2
- d = 2.357 Å, I 12.6
- d = 2.261 Å, I 31.2
- d = 1.968 Å, I 21.9
- d = 1.953 Å, I 40.3
- d = 1.603 Å, I 20.1
- d = 1.596 Å, I 40.2
- d = 1.386 Å, I 23.1


Structure and calculated PXRD pattern of NaSr2LaTi4O12 (DFT lattice parameters and positions (GGA-PBE); copper Kα).
Neutral-atom scattering factors, no anomalous dispersion.

Structure:
abc: 8.781 8.781 8.781
angles: 143.12 143.12 53.14
Fractional positions:
Na 0.000 0.000 0.000
Sr 0.249 0.249 0.000
Sr 0.751 0.751 0.000
La 0.500 0.500 0.000
Ti 0.124 0.624 0.500
Ti 0.376 0.876 0.500
Ti 0.624 0.124 0.500
Ti 0.876 0.376 0.500
O 0.000 0.500 0.500
O 0.132 0.132 0.512
O 0.132 0.620 0.000
O 0.250 0.750 0.500
O 0.380 0.380 0.512
O 0.380 0.868 0.000
O 0.500 0.000 0.500
O 0.620 0.132 0.000
O 0.620 0.620 0.488
O 0.750 0.250 0.500
O 0.868 0.380 0.000
O 0.868 0.868 0.488

Principal peaks in the range 2θ = 10–80°, by angle:
- d = 5.237 Å, I 19.9
- d = 3.810 Å, I 9.0
- d = 2.777 Å, I 100.0
- d = 2.454 Å, I 5.1
- d = 2.268 Å, I 20.7
- d = 2.244 Å, I 4.9
- d = 1.964 Å, I 42.1
- d = 1.603 Å, I 37.7
- d = 1.389 Å, I 23.8
- d = 1.242 Å, I 16.0


Structure and calculated PXRD pattern of NaSr2LaTi4O12 (DFT lattice parameters and positions (GGA-PBE); copper Kα).
Neutral-atom scattering factors, no anomalous dispersion.

Structure:
abc: 5.541 5.541 7.886
angles: 90.00 90.00 90.00
Fractional positions:
Na 0.000 0.000 0.000
Sr 0.000 0.000 0.500
Sr 0.500 0.500 0.500
La 0.500 0.500 0.000
Ti 0.000 0.500 0.248
Ti 0.000 0.500 0.752
Ti 0.500 0.000 0.248
Ti 0.500 0.000 0.752
O 0.000 0.500 0.000
O 0.000 0.500 0.500
O 0.228 0.228 0.249
O 0.228 0.772 0.751
O 0.283 0.283 0.754
O 0.283 0.717 0.246
O 0.500 0.000 0.000
O 0.500 0.000 0.500
O 0.717 0.283 0.246
O 0.717 0.717 0.754
O 0.772 0.228 0.751
O 0.772 0.772 0.249

Principal peaks in the range 2θ = 10–80°, by angle:
- d = 5.541 Å, I 18.0
- d = 4.534 Å, I 20.8
- d = 2.779 Å, I 100.0
- d = 2.771 Å, I 52.4
- d = 2.267 Å, I 30.2
- d = 1.971 Å, I 21.7
- d = 1.959 Å, I 40.8
- d = 1.606 Å, I 19.8
- d = 1.601 Å, I 39.7
- d = 1.390 Å, I 23.4


Structure and calculated PXRD pattern of Na3Sr4La3Ti10O30 (DFT lattice parameters and positions (GGA-PBE); copper Kα).
Neutral-atom scattering factors, no anomalous dispersion.

Structure:
abc: 19.935 5.554 19.928
angles: 82.06 16.02 81.92
Fractional positions:
Na 0.000 0.000 0.000
Na 0.400 0.600 0.400
Na 0.600 0.400 0.600
Sr 0.199 0.799 0.201
Sr 0.299 0.697 0.303
Sr 0.697 0.299 0.701
Sr 0.799 0.199 0.801
La 0.101 0.902 0.098
La 0.500 0.500 0.500
La 0.902 0.101 0.899
Ti 0.049 0.451 0.050
Ti 0.150 0.350 0.147
Ti 0.249 0.249 0.251
Ti 0.350 0.150 0.353
Ti 0.451 0.049 0.450
Ti 0.550 0.950 0.549
Ti 0.647 0.853 0.650
Ti 0.749 0.749 0.751
Ti 0.853 0.647 0.850
Ti 0.950 0.550 0.951
O 0.005 0.496 0.504
O 0.094 0.403 0.597
O 0.095 0.904 0.608
O 0.132 0.356 0.067
O 0.173 0.323 0.226
O 0.201 0.800 0.700
O 0.216 0.299 0.701
O 0.299 0.216 0.784
O 0.300 0.700 0.799
O 0.323 0.173 0.278
O 0.356 0.132 0.445
O 0.392 0.607 0.905
O 0.403 0.094 0.906
O 0.496 0.005 0.995
O 0.499 0.499 0.001
O 0.534 0.951 0.466
O 0.555 0.933 0.644
O 0.607 0.392 0.096
O 0.615 0.900 0.100
O 0.699 0.815 0.185
O 0.700 0.300 0.200
O 0.722 0.774 0.677
O 0.774 0.722 0.827
O 0.800 0.201 0.300
O 0.815 0.699 0.301
O 0.900 0.615 0.385
O 0.904 0.095 0.393
O 0.933 0.555 0.868
O 0.951 0.534 0.049
O 0.999 0.999 0.501

Principal peaks in the range 2θ = 10–80°, by angle:
- d = 4.527 Å, I 30.9
- d = 2.776 Å, I 100.0
- d = 2.764 Å, I 53.4
- d = 2.359 Å, I 12.7
- d = 2.263 Å, I 31.1
- d = 1.972 Å, I 22.1
- d = 1.954 Å, I 40.2
- d = 1.605 Å, I 20.3
- d = 1.598 Å, I 40.5
- d = 1.388 Å, I 23.2